The following is a simulated X-ray powder pattern of La4GeIrI2. It was derived from the PBE geometry in Alexandria, using Cu Ka.
Lines closer than 0.1° are merged.

The 10 most intense peaks (10 to 90 degrees two-theta), in order of rising 2θ:
| 2theta | Rel. int. |
| --- | --- |
| 11.04 | 12.4 |
| 27.72 | 100.0 |
| 37.34 | 10.5 |
| 38.54 | 18.0 |
| 40.66 | 26.1 |
| 41.78 | 12.7 |
| 48.96 | 6.8 |
| 50.88 | 12.0 |
| 57.26 | 8.5 |
| 66.27 | 10.1 |

Atomic structure:
Cell: 7.759 4.324 8.353 Å, 90.00 106.41 90.00°
Fractional coordinates of all 8 atoms:
La1 0.218 0.000 0.190
La2 0.250 0.500 0.809
La3 0.750 0.500 0.191
La4 0.782 0.000 0.810
Ge1 0.500 0.000 0.000
Ir1 0.000 0.500 0.000
I1 0.000 0.000 0.500
I2 0.500 0.500 0.500

---

The following is a simulated X-ray powder pattern of Pr4GeIrI2. It was derived from the PBE geometry in Alexandria, using Cu Ka.
Lines closer than 0.1° are merged.

The 10 most intense peaks (10 to 90 degrees two-theta), in order of rising 2θ:
| 2theta | Rel. int. |
| --- | --- |
| 11.15 | 20.1 |
| 27.83 | 49.7 |
| 28.04 | 100.0 |
| 35.47 | 10.6 |
| 37.67 | 14.8 |
| 38.92 | 26.4 |
| 40.90 | 40.2 |
| 42.35 | 20.8 |
| 49.18 | 10.2 |
| 51.45 | 19.1 |

Atomic structure:
Cell: 7.736 4.268 8.284 Å, 90.00 106.67 90.00°
Fractional coordinates of all 8 atoms:
Pr1 0.218 0.000 0.187
Pr2 0.255 0.500 0.809
Pr3 0.745 0.500 0.191
Pr4 0.782 0.000 0.813
Ge1 0.500 0.000 0.000
Ir1 0.000 0.500 0.000
I1 0.000 0.000 0.500
I2 0.500 0.500 0.500

---

The following is a simulated X-ray powder pattern of K4GeI6. It was derived from the PBE geometry in Alexandria, using Cu Ka.
Lines closer than 0.1° are merged.

The 10 most intense peaks (10 to 90 degrees two-theta), in order of rising 2θ:
| 2theta | Rel. int. |
| --- | --- |
| 12.73 | 43.3 |
| 20.20 | 34.5 |
| 22.13 | 56.2 |
| 27.23 | 62.6 |
| 28.70 | 93.7 |
| 30.15 | 100.0 |
| 31.48 | 23.3 |
| 38.84 | 24.1 |
| 42.11 | 43.7 |
| 46.14 | 27.0 |

Atomic structure:
Cell: 9.834 9.834 9.834 Å, 89.90 89.90 89.90°
Fractional coordinates of all 22 atoms:
K1 0.139 0.750 0.361
K2 0.250 0.250 0.250
K3 0.250 0.639 0.861
K4 0.361 0.139 0.750
K5 0.639 0.861 0.250
K6 0.750 0.361 0.139
K7 0.750 0.750 0.750
K8 0.861 0.250 0.639
Ge1 0.000 0.000 0.000
Ge2 0.500 0.500 0.500
I1 0.053 0.935 0.701
I2 0.065 0.299 0.947
I3 0.201 0.435 0.553
I4 0.299 0.947 0.065
I5 0.435 0.553 0.201
I6 0.447 0.799 0.565
I7 0.553 0.201 0.435
I8 0.565 0.447 0.799
I9 0.701 0.053 0.935
I10 0.799 0.565 0.447
I11 0.935 0.701 0.053
I12 0.947 0.065 0.299

---

The following is a simulated X-ray powder pattern of KGe3I12. It was derived from the PBE geometry in Alexandria, using Cu Ka.
Lines closer than 0.1° are merged.

The 10 most intense peaks (10 to 90 degrees two-theta), in order of rising 2θ:
| 2theta | Rel. int. |
| --- | --- |
| 13.33 | 66.4 |
| 13.53 | 66.2 |
| 15.09 | 59.0 |
| 23.55 | 79.1 |
| 23.78 | 77.9 |
| 27.15 | 100.0 |
| 27.42 | 52.2 |
| 43.67 | 30.6 |
| 47.36 | 42.9 |
| 52.25 | 32.2 |

Atomic structure:
Cell: 15.281 15.281 15.281 Å, 50.72 50.72 50.72°
Fractional coordinates of all 32 atoms:
K1 0.000 0.000 0.000
K2 0.500 0.500 0.500
Ge1 0.148 0.436 0.780
Ge2 0.280 0.936 0.648
Ge3 0.436 0.780 0.148
Ge4 0.648 0.280 0.936
Ge5 0.780 0.148 0.436
Ge6 0.936 0.648 0.280
I1 0.028 0.423 0.414
I2 0.049 0.079 0.687
I3 0.079 0.687 0.049
I4 0.187 0.579 0.549
I5 0.207 0.218 0.812
I6 0.218 0.812 0.207
I7 0.294 0.424 0.827
I8 0.312 0.718 0.707
I9 0.327 0.924 0.794
I10 0.414 0.028 0.423
I11 0.423 0.414 0.028
I12 0.424 0.827 0.294
I13 0.528 0.914 0.923
I14 0.549 0.187 0.579
I15 0.579 0.549 0.187
I16 0.687 0.049 0.079
I17 0.707 0.312 0.718
I18 0.718 0.707 0.312
I19 0.794 0.327 0.924
I20 0.812 0.207 0.218
I21 0.827 0.294 0.424
I22 0.914 0.923 0.528
I23 0.923 0.528 0.914
I24 0.924 0.794 0.327

---

The following is a simulated X-ray powder pattern of K3GeI6. It was derived from the PBE geometry in Alexandria, using Cu Ka.
Lines closer than 0.1° are merged.

The 10 most intense peaks (10 to 90 degrees two-theta), in order of rising 2θ:
| 2theta | Rel. int. |
| --- | --- |
| 12.66 | 56.4 |
| 12.96 | 22.3 |
| 21.85 | 28.2 |
| 22.37 | 90.0 |
| 27.38 | 52.1 |
| 28.69 | 100.0 |
| 29.10 | 68.7 |
| 34.75 | 24.0 |
| 38.64 | 25.3 |
| 40.93 | 35.4 |

Atomic structure:
Cell: 9.776 9.776 9.776 Å, 88.65 88.65 88.65°
Fractional coordinates of all 20 atoms:
K1 0.091 0.561 0.218
K2 0.218 0.091 0.561
K3 0.439 0.782 0.909
K4 0.561 0.218 0.091
K5 0.782 0.909 0.439
K6 0.909 0.439 0.782
Ge1 0.000 0.000 0.000
Ge2 0.500 0.500 0.500
I1 0.083 0.731 0.892
I2 0.108 0.917 0.269
I3 0.206 0.459 0.542
I4 0.269 0.108 0.917
I5 0.458 0.794 0.541
I6 0.459 0.542 0.206
I7 0.541 0.458 0.794
I8 0.542 0.206 0.459
I9 0.731 0.892 0.083
I10 0.794 0.541 0.458
I11 0.892 0.083 0.731
I12 0.917 0.269 0.108

---

The following is a simulated X-ray powder pattern of KLaGe2I8. It was derived from the PBE geometry in Alexandria, using Cu Ka.
Lines closer than 0.1° are merged.

The 10 most intense peaks (10 to 90 degrees two-theta), in order of rising 2θ:
| 2theta | Rel. int. |
| --- | --- |
| 23.44 | 38.3 |
| 24.37 | 32.8 |
| 25.26 | 100.0 |
| 25.40 | 60.2 |
| 25.81 | 35.9 |
| 26.58 | 41.9 |
| 33.76 | 44.4 |
| 37.41 | 36.8 |
| 38.34 | 29.5 |
| 40.72 | 29.6 |

Atomic structure:
Cell: 7.332 7.795 9.663 Å, 85.82 86.21 86.66°
Fractional coordinates of all 12 atoms:
K1 0.000 0.000 0.000
La1 0.000 0.000 0.500
Ge1 0.464 0.471 0.239
Ge2 0.536 0.529 0.761
I1 0.245 0.333 0.476
I2 0.259 0.827 0.267
I3 0.262 0.836 0.729
I4 0.275 0.367 0.029
I5 0.725 0.633 0.971
I6 0.738 0.164 0.271
I7 0.741 0.173 0.733
I8 0.755 0.667 0.524

---

The following is a simulated X-ray powder pattern of KNpGeI6. It was derived from the PBE geometry in Alexandria, using Cu Ka.
Lines closer than 0.1° are merged.

The 10 most intense peaks (10 to 90 degrees two-theta), in order of rising 2θ:
| 2theta | Rel. int. |
| --- | --- |
| 11.45 | 33.2 |
| 12.83 | 20.8 |
| 17.23 | 25.0 |
| 25.15 | 100.0 |
| 32.27 | 63.8 |
| 36.36 | 14.4 |
| 39.17 | 37.4 |
| 41.75 | 32.4 |
| 47.12 | 14.6 |
| 62.83 | 23.0 |

Atomic structure:
Cell: 7.967 7.967 15.463 Å, 90.00 90.00 120.00°
Fractional coordinates of all 18 atoms:
K1 0.000 0.000 0.000
K2 0.000 0.000 0.500
Np1 0.333 0.667 0.250
Np2 0.667 0.333 0.750
Ge1 0.333 0.667 0.750
Ge2 0.667 0.333 0.250
I1 0.008 0.371 0.637
I2 0.008 0.637 0.863
I3 0.363 0.371 0.863
I4 0.363 0.992 0.637
I5 0.371 0.008 0.137
I6 0.371 0.363 0.363
I7 0.629 0.637 0.637
I8 0.629 0.992 0.863
I9 0.637 0.008 0.363
I10 0.637 0.629 0.137
I11 0.992 0.363 0.137
I12 0.992 0.629 0.363

---

The following is a simulated X-ray powder pattern of K2GeI6O18. It was derived from the PBE geometry in Alexandria, using Cu Ka.
Lines closer than 0.1° are merged.

The 10 most intense peaks (10 to 90 degrees two-theta), in order of rising 2θ:
| 2theta | Rel. int. |
| --- | --- |
| 15.55 | 20.6 |
| 17.73 | 22.6 |
| 23.67 | 42.8 |
| 25.07 | 74.8 |
| 27.10 | 33.8 |
| 27.87 | 100.0 |
| 28.44 | 16.5 |
| 33.64 | 66.3 |
| 48.72 | 20.5 |
| 49.78 | 20.2 |

Atomic structure:
Cell: 7.633 7.633 7.633 Å, 96.59 96.59 96.59°
Fractional coordinates of all 27 atoms:
K1 0.178 0.178 0.178
K2 0.822 0.822 0.822
Ge1 0.500 0.500 0.500
I1 0.141 0.333 0.704
I2 0.296 0.859 0.667
I3 0.333 0.704 0.141
I4 0.667 0.296 0.859
I5 0.704 0.141 0.333
I6 0.859 0.667 0.296
O1 0.088 0.708 0.619
O2 0.091 0.685 0.094
O3 0.094 0.091 0.685
O4 0.292 0.381 0.912
O5 0.315 0.906 0.909
O6 0.318 0.552 0.324
O7 0.324 0.318 0.552
O8 0.381 0.912 0.292
O9 0.448 0.676 0.682
O10 0.552 0.324 0.318
O11 0.619 0.088 0.708
O12 0.676 0.682 0.448
O13 0.682 0.448 0.676
O14 0.685 0.094 0.091
O15 0.708 0.619 0.088
O16 0.906 0.909 0.315
O17 0.909 0.315 0.906
O18 0.912 0.292 0.381

---

The following is a simulated X-ray powder pattern of La2GeI3. It was derived from the PBE geometry in Alexandria, using Cu Ka.
Lines closer than 0.1° are merged.

The 10 most intense peaks (10 to 90 degrees two-theta), in order of rising 2θ:
| 2theta | Rel. int. |
| --- | --- |
| 14.17 | 38.7 |
| 22.00 | 61.6 |
| 22.68 | 29.6 |
| 23.38 | 27.5 |
| 27.58 | 100.0 |
| 28.26 | 32.3 |
| 29.06 | 34.9 |
| 34.97 | 52.4 |
| 36.67 | 79.2 |
| 38.04 | 40.2 |

Atomic structure:
Cell: 10.105 10.105 12.556 Å, 122.90 122.90 28.08°
Fractional coordinates of all 12 atoms:
La1 0.108 0.108 0.433
La2 0.367 0.367 0.218
La3 0.633 0.633 0.782
La4 0.892 0.892 0.567
Ge1 0.058 0.058 0.619
Ge2 0.942 0.942 0.381
I1 0.164 0.164 0.997
I2 0.267 0.267 0.377
I3 0.459 0.459 0.776
I4 0.541 0.541 0.224
I5 0.733 0.733 0.623
I6 0.836 0.836 0.003

---

The following is a simulated X-ray powder pattern of La3GeI3. It was derived from the PBE geometry in Alexandria, using Cu Ka.
Lines closer than 0.1° are merged.

The 10 most intense peaks (10 to 90 degrees two-theta), in order of rising 2θ:
| 2theta | Rel. int. |
| --- | --- |
| 26.12 | 22.3 |
| 27.96 | 100.0 |
| 32.91 | 13.4 |
| 39.95 | 72.3 |
| 49.47 | 24.6 |
| 52.69 | 11.1 |
| 56.79 | 9.4 |
| 57.78 | 10.9 |
| 65.39 | 28.4 |
| 72.56 | 19.9 |

Atomic structure:
Cell: 11.055 11.055 11.055 Å, 109.47 109.47 109.47°
Fractional coordinates of all 28 atoms:
La1 0.015 0.029 0.265
La2 0.015 0.485 0.750
La3 0.029 0.265 0.015
La4 0.235 0.265 0.750
La5 0.235 0.471 0.485
La6 0.265 0.015 0.029
La7 0.265 0.750 0.235
La8 0.471 0.485 0.235
La9 0.485 0.235 0.471
La10 0.485 0.750 0.015
La11 0.750 0.015 0.485
La12 0.750 0.235 0.265
Ge1 0.000 0.250 0.500
Ge2 0.250 0.250 0.250
Ge3 0.250 0.500 0.000
Ge4 0.500 0.000 0.250
I1 0.250 0.757 0.743
I2 0.250 0.993 0.507
I3 0.507 0.250 0.993
I4 0.507 0.757 0.515
I5 0.515 0.507 0.757
I6 0.743 0.250 0.757
I7 0.743 0.993 0.985
I8 0.757 0.515 0.507
I9 0.757 0.743 0.250
I10 0.985 0.743 0.993
I11 0.993 0.507 0.250
I12 0.993 0.985 0.743

---

The following is a simulated X-ray powder pattern of La6Ge2PI3. It was derived from the PBE geometry in Alexandria, using Cu Ka.
Lines closer than 0.1° are merged.

The 10 most intense peaks (10 to 90 degrees two-theta), in order of rising 2θ:
| 2theta | Rel. int. |
| --- | --- |
| 27.91 | 100.0 |
| 30.20 | 17.4 |
| 34.38 | 8.3 |
| 38.72 | 29.6 |
| 41.00 | 39.0 |
| 50.33 | 19.2 |
| 54.55 | 13.2 |
| 57.66 | 9.1 |
| 66.85 | 16.1 |
| 73.17 | 8.8 |

Atomic structure:
Cell: 7.625 7.625 8.228 Å, 98.88 98.88 119.99°
Fractional coordinates of all 12 atoms:
La1 0.066 0.393 0.200
La2 0.260 0.260 0.800
La3 0.393 0.066 0.200
La4 0.607 0.934 0.800
La5 0.740 0.740 0.200
La6 0.934 0.607 0.800
Ge1 0.334 0.666 0.000
Ge2 0.666 0.334 0.000
P1 0.000 0.000 0.000
I1 0.169 0.831 0.500
I2 0.500 0.500 0.500
I3 0.831 0.169 0.500

---

Which formula does entry 1 have? La4GeIrI2